1.
Starting from the GGA-PBE geometry in the Materials Project, the powder XRD pattern of SmGe2Pd was computed for Cu Kα X-rays.
Neutral-atom scattering factors, no anomalous dispersion.

```
16
Lattice="-2.202 4.452 8.259 2.202 -4.452 8.259 2.202 4.452 -8.259" Properties=species:S:1:pos:R:3 pbc="T T T"
Sm 0.000 0.000 3.354
Sm 0.000 2.146 0.000
Sm 0.000 6.758 0.000
Sm 0.000 0.000 13.165
Ge 2.202 0.000 1.222
Ge 2.202 -1.335 5.008
Ge 0.000 0.000 7.027
Ge 2.202 1.335 5.008
Ge 0.000 3.116 3.251
Ge 0.000 0.000 9.492
Ge 0.000 5.787 3.251
Ge 0.000 4.452 7.037
Pd 2.202 2.232 -2.453
Pd 2.202 2.232 2.453
Pd 0.000 2.220 5.806
Pd 0.000 2.220 10.712
```

Main lines, in order of rising 2θ (15 to 90 degrees two-theta):
32.91°, I = 100
33.92°, I = 71
34.33°, I = 15
38.15°, I = 22
38.45°, I = 32
40.53°, I = 20
40.98°, I = 44
48.61°, I = 14
48.73°, I = 15
57.45°, I = 19
58.99°, I = 15
68.92°, I = 21


2.
Starting from the GGA-PBE geometry in the Materials Project, the powder XRD pattern of Sm3Ge6Pd20 was computed for Cu Kα X-rays.
Neutral-atom scattering factors, no anomalous dispersion.

```
29
Lattice="0.000 6.279 6.279 6.279 0.000 6.279 6.279 6.279 0.000" Properties=species:S:1:pos:R:3 pbc="T T T"
Sm 0.000 0.000 0.000
Sm 3.139 3.139 3.139
Sm 9.418 9.418 9.418
Ge 6.279 6.279 3.385
Ge 6.279 3.385 6.279
Ge 9.173 6.279 6.279
Ge 3.385 6.279 6.279
Ge 6.279 9.173 6.279
Ge 6.279 6.279 9.173
Pd 2.180 2.180 0.000
Pd 4.099 4.099 0.000
Pd 2.180 0.000 2.180
Pd 6.279 4.099 2.180
Pd 4.099 0.000 4.099
Pd 6.279 2.180 4.099
Pd 7.767 4.790 4.790
Pd 0.000 2.180 2.180
Pd 4.099 6.279 2.180
Pd 4.099 2.180 6.279
Pd 4.790 4.790 4.790
Pd 7.767 7.767 4.790
Pd 7.767 4.790 7.767
Pd 4.790 7.767 4.790
Pd 4.790 4.790 7.767
Pd 7.767 7.767 7.767
Pd 0.000 4.099 4.099
Pd 2.180 6.279 4.099
Pd 2.180 4.099 6.279
Pd 4.790 7.767 7.767
```

Main lines, in order of rising 2θ (15 to 90 degrees two-theta):
31.87°, I = 14
35.01°, I = 25
37.21°, I = 100
40.64°, I = 50
42.59°, I = 27
43.23°, I = 14
48.06°, I = 23
58.83°, I = 8
62.79°, I = 25
64.24°, I = 14
73.96°, I = 27
75.30°, I = 9


3.
Starting from the GGA-PBE geometry in the Materials Project, the powder XRD pattern of SrGe2Pd2 was computed for Cu Kα X-rays.
Neutral-atom scattering factors, no anomalous dispersion.

```
5
Lattice="-2.219 2.219 5.149 2.219 -2.219 5.149 2.219 2.219 -5.149" Properties=species:S:1:pos:R:3 pbc="T T T"
Sr 0.000 0.000 0.000
Ge 0.000 0.000 3.816
Ge 0.000 0.000 6.482
Pd 2.219 0.000 2.575
Pd 0.000 2.219 2.575
```

Main lines, in order of rising 2θ (15 to 90 degrees two-theta):
17.22°, I = 28
32.99°, I = 49
33.44°, I = 100
40.65°, I = 68
45.57°, I = 37
48.74°, I = 12
53.31°, I = 25
58.85°, I = 23
61.58°, I = 21
69.40°, I = 23
77.44°, I = 15
87.62°, I = 15


4.
Starting from the GGA-PBE geometry in the Materials Project, the powder XRD pattern of SrGe3Pd was computed for Cu Kα X-rays.
Neutral-atom scattering factors, no anomalous dispersion.

```
5
Lattice="-2.255 2.255 5.214 2.255 -2.255 5.214 2.255 2.255 -5.214" Properties=species:S:1:pos:R:3 pbc="T T T"
Sr 0.000 0.000 0.000
Ge 2.255 0.000 2.644
Ge 0.000 0.000 4.170
Ge 0.000 2.255 2.644
Pd 0.000 0.000 6.683
```

Main lines, in order of rising 2θ (15 to 90 degrees two-theta):
27.98°, I = 19
32.52°, I = 76
32.92°, I = 100
39.98°, I = 88
44.91°, I = 42
48.07°, I = 28
52.45°, I = 38
57.82°, I = 29
60.69°, I = 17
64.24°, I = 23
68.16°, I = 25
86.21°, I = 24


5.
Starting from the GGA-PBE geometry in the Materials Project, the powder XRD pattern of TbGePd2 was computed for Cu Kα X-rays.
Neutral-atom scattering factors, no anomalous dispersion.

```
16
Lattice="7.465 0.000 0.000 0.000 7.120 0.000 0.000 0.000 5.635" Properties=species:S:1:pos:R:3 pbc="T T T"
Tb 0.212 1.780 0.825
Tb 3.521 5.340 3.643
Tb 3.944 1.780 1.992
Tb 7.253 5.340 4.810
Ge 0.902 5.340 1.999
Ge 2.830 1.780 4.817
Ge 4.634 5.340 0.819
Ge 6.563 1.780 3.636
Pd 1.346 0.367 3.326
Pd 1.346 3.193 3.326
Pd 2.386 3.927 0.508
Pd 2.386 6.753 0.508
Pd 5.079 0.367 5.127
Pd 5.079 3.193 5.127
Pd 6.119 3.927 2.309
Pd 6.119 6.753 2.309
```

Main lines, in order of rising 2θ (15 to 90 degrees two-theta):
31.37°, I = 54
32.07°, I = 40
34.01°, I = 27
34.83°, I = 74
36.34°, I = 100
38.42°, I = 50
39.59°, I = 63
42.68°, I = 33
43.10°, I = 40
63.42°, I = 41
75.95°, I = 18
77.13°, I = 22


6.
Starting from the GGA-PBE geometry in the Materials Project, the powder XRD pattern of TbGe2Pd2 was computed for Cu Kα X-rays.
Neutral-atom scattering factors, no anomalous dispersion.

```
5
Lattice="-2.138 2.138 5.111 2.138 -2.138 5.111 2.138 2.138 -5.111" Properties=species:S:1:pos:R:3 pbc="T T T"
Tb 0.000 0.000 0.000
Ge 0.000 0.000 3.888
Ge 0.000 0.000 6.333
Pd 2.138 0.000 2.555
Pd 0.000 2.138 2.555
```

Main lines, in order of rising 2θ (15 to 90 degrees two-theta):
33.63°, I = 46
34.46°, I = 100
42.27°, I = 53
46.53°, I = 12
49.42°, I = 19
55.07°, I = 22
56.09°, I = 8
61.31°, I = 17
62.59°, I = 14
67.01°, I = 15
72.27°, I = 23
89.32°, I = 12


7.
Starting from the GGA-PBE geometry in the Materials Project, the powder XRD pattern of Tb2Ge6Pd was computed for Cu Kα X-rays.
Neutral-atom scattering factors, no anomalous dispersion.

```
9
Lattice="4.103 0.000 0.000 0.000 2.032 11.005 0.000 -2.032 11.005" Properties=species:S:1:pos:R:3 pbc="T T T"
Tb 0.000 0.000 0.000
Tb 0.000 0.000 7.493
Ge 0.000 0.000 13.249
Ge 0.000 0.000 15.751
Ge 2.052 0.000 2.213
Ge 2.052 0.000 4.730
Ge 2.052 0.000 10.205
Ge 2.052 0.000 19.641
Pd 2.052 0.000 17.200
```

Main lines, in order of rising 2θ (15 to 90 degrees two-theta):
32.54°, I = 11
32.75°, I = 24
33.35°, I = 100
37.24°, I = 15
42.50°, I = 16
43.17°, I = 19
44.14°, I = 23
44.59°, I = 23
55.91°, I = 11
56.41°, I = 10
63.46°, I = 12
64.55°, I = 15


8.
Starting from the GGA-PBE geometry in the Materials Project, the powder XRD pattern of GeTe2Pd8 was computed for Cu Kα X-rays.
Neutral-atom scattering factors, no anomalous dispersion.

```
44
Lattice="3.838 2.216 14.505 -3.838 2.216 14.505 0.000 -4.432 14.505" Properties=species:S:1:pos:R:3 pbc="T T T"
Ge 0.000 0.000 0.000
Ge 0.000 0.000 6.899
Ge 0.000 0.000 21.758
Ge 0.000 0.000 28.657
Te -2.629 -0.097 18.147
Te -1.209 -2.313 25.400
Te 0.000 0.000 14.911
Te 1.399 -2.228 18.147
Te -1.399 2.204 25.400
Te 1.230 2.326 18.147
Te 0.000 0.000 36.669
Te 2.608 0.109 25.400
Pd -1.053 -2.220 13.812
Pd 0.000 0.000 2.590
Pd -0.912 -2.797 19.589
Pd -0.994 -1.763 16.796
Pd -2.442 -0.194 21.065
Pd -2.808 -0.474 24.049
Pd 0.000 0.000 9.400
Pd -1.020 -2.223 22.483
Pd 0.000 0.000 12.272
Pd -1.396 2.022 13.812
Pd -2.423 -0.221 29.735
Pd -1.967 2.189 19.589
Pd -1.872 -0.027 26.842
Pd -1.030 1.742 16.796
Pd 0.000 0.000 19.175
Pd -1.416 1.995 22.483
Pd 1.389 -2.018 21.065
Pd 0.000 0.000 24.348
Pd 0.959 -1.607 26.842
Pd 1.815 -2.195 24.049
Pd 2.449 0.198 13.812
Pd 2.024 0.021 16.796
Pd 0.000 0.000 31.158
Pd 1.403 -1.988 29.735
Pd 0.000 0.000 34.030
Pd 1.053 2.212 21.065
Pd 2.435 0.229 22.483
Pd 0.912 1.635 26.842
Pd 2.879 0.609 19.589
Pd 0.994 2.669 24.049
Pd 0.000 0.000 40.933
Pd 1.020 2.209 29.735
```

Main lines, in order of rising 2θ (15 to 90 degrees two-theta):
35.79°, I = 18
37.22°, I = 10
38.91°, I = 100
39.70°, I = 17
40.72°, I = 94
44.28°, I = 16
46.47°, I = 13
57.59°, I = 13
64.21°, I = 10
72.90°, I = 10
76.60°, I = 15
78.87°, I = 12